Diffraction record for V6O5F19. The X-ray powder pattern is theoretical, not measured: it uses a DFT-relaxed cell (GGA+U, the Materials Project) and Cu Kα X-rays.
Neutral-atom scattering factors, no anomalous dispersion.

Lattice parameters (Å, degrees): 5.305 5.549 14.780 79.80 89.88 89.14
Sites, in units of the cell vectors:
1 V 0.000 0.000 0.000
2 V 0.000 0.334 0.333
3 V 0.449 0.175 0.667
4 V 0.454 0.497 0.001
5 V 0.454 0.831 0.334
6 V 0.969 0.707 0.663
7 O 0.188 0.090 0.355
8 O 0.188 0.756 0.021
9 O 0.271 0.256 0.022
10 O 0.271 0.590 0.355
11 O 0.274 0.931 0.687
12 F 0.066 0.123 0.884
13 F 0.066 0.458 0.217
14 F 0.074 0.776 0.548
15 F 0.184 0.409 0.688
16 F 0.394 0.956 0.217
17 F 0.395 0.622 0.884
18 F 0.405 0.286 0.549
19 F 0.558 0.535 0.111
20 F 0.560 0.870 0.444
21 F 0.568 0.196 0.777
22 F 0.689 0.534 0.640
23 F 0.708 0.201 0.305
24 F 0.708 0.868 0.972
25 F 0.752 0.364 0.973
26 F 0.752 0.697 0.306
27 F 0.757 0.020 0.640
28 F 0.900 0.369 0.444
29 F 0.901 0.037 0.111
30 F 0.910 0.693 0.782

Most intense lines, 15° ≤ 2θ ≤ 90°, by angle:
| 2theta | intensity |
| --- | --- |
| 18.30 | 100 |
| 24.74 | 50 |
| 24.88 | 48 |
| 25.08 | 47 |
| 25.20 | 44 |
| 37.11 | 18 |

---

Diffraction record for VOF3. The X-ray powder pattern is theoretical, not measured: it uses a DFT-relaxed cell (GGA+U, the Materials Project) and Cu Kα X-rays.
Neutral-atom scattering factors, no anomalous dispersion.

Lattice parameters (Å, degrees): 8.769 8.769 4.027 90.00 90.00 90.00
Sites, in units of the cell vectors:
1 V 0.127 0.373 0.185
2 V 0.373 0.873 0.815
3 V 0.627 0.127 0.815
4 V 0.873 0.627 0.185
5 O 0.120 0.380 0.784
6 O 0.380 0.880 0.216
7 O 0.620 0.120 0.216
8 O 0.880 0.620 0.784
9 F 0.094 0.594 0.269
10 F 0.104 0.178 0.269
11 F 0.178 0.896 0.731
12 F 0.322 0.396 0.269
13 F 0.396 0.678 0.731
14 F 0.406 0.094 0.731
15 F 0.594 0.906 0.731
16 F 0.604 0.322 0.731
17 F 0.678 0.604 0.269
18 F 0.822 0.104 0.731
19 F 0.896 0.822 0.269
20 F 0.906 0.406 0.269

Most intense lines, 15° ≤ 2θ ≤ 90°, by angle:
| 2theta | intensity |
| --- | --- |
| 22.67 | 100 |
| 24.32 | 77 |
| 26.39 | 37 |
| 41.18 | 47 |
| 45.03 | 19 |
| 57.30 | 16 |